Calculated powder diffractogram
Compound: ZrP2Pd7
Radiation: λ = 1.5418 Å (Cu Kα)
Structure: DFT lattice parameters and positions (PBE)
No peak broadening, texture or thermal motion is included.

Crystal structure
Lattice parameters (Å, degrees): 4.046 4.046 19.446 90.00 90.00 90.00
Space group I4/mmm (No. 139)
Asymmetric unit:
Zr1 0.000 0.000 0.000 x2
P1 0.000 0.000 0.324 x4
Pd1 0.000 0.000 0.500 x2
Pd2 0.000 0.500 0.104 x8
Pd3 0.000 0.500 0.250 x4

Most intense lines, 2θ from 10° to 80°, low angle first:
hkl 1 1 0, 31.26°, I 282
hkl 1 1 2, 32.62°, I 245
hkl 1 1 4, 36.44°, I 295
hkl 0 0 8, 36.98°, I 205
hkl 1 1 6, 42.13°, I 1000
hkl 2 0 0, 44.80°, I 572
hkl 2 0 8, 59.44°, I 201
hkl 2 2 0, 65.21°, I 182
hkl 1 1 14, 76.19°, I 168
hkl 2 2 8, 77.40°, I 91


Calculated powder diffractogram
Compound: BaSrTeCl2
Radiation: λ = 1.5418 Å (Cu Kα)
Structure: DFT lattice parameters and positions (PBE)
No peak broadening, texture or thermal motion is included.

Crystal structure
Lattice parameters (Å, degrees): 5.045 5.045 7.751 90.00 90.00 90.00
Space group P4mm (No. 99)
Asymmetric unit:
Ba1 0.000 0.000 0.000 x1
Sr1 0.500 0.500 0.448 x1
Te1 0.500 0.500 0.857 x1
Cl1 0.000 0.500 0.281 x2

Most intense lines, 2θ from 10° to 80°, low angle first:
hkl 0 0 1, 11.42°, I 507
hkl 1 0 1, 21.01°, I 996
hkl 0 0 2, 22.95°, I 445
hkl 1 1 0, 24.96°, I 1000
hkl 1 1 1, 27.53°, I 854
hkl 1 0 2, 29.05°, I 723
hkl 1 1 2, 34.16°, I 981
hkl 2 0 0, 35.59°, I 943
hkl 1 0 3, 39.17°, I 718
hkl 2 1 3, 53.95°, I 562


Calculated powder diffractogram
Compound: Pr3TcB7
Radiation: λ = 1.5418 Å (Cu Kα)
Structure: DFT lattice parameters and positions (PBE)
No peak broadening, texture or thermal motion is included.

Crystal structure
Lattice parameters (Å, degrees): 3.661 16.467 9.667 90.00 90.00 90.00
Space group Cmcm (No. 63)
Asymmetric unit:
Pr1 0.000 0.103 0.062 x8
Pr2 0.000 0.243 0.750 x4
Tc1 0.000 0.057 0.750 x4
B1 0.000 0.274 0.032 x8
B2 0.000 0.368 0.153 x8
B3 0.000 0.467 0.750 x4
B4 0.000 0.475 0.102 x8

Most intense lines, 2θ from 10° to 80°, low angle first:
hkl 1 1 0, 24.92°, I 971
hkl 0 4 2, 28.48°, I 817
hkl 0 2 3, 29.77°, I 752
hkl 1 3 1, 30.78°, I 346
hkl 0 6 0, 32.63°, I 461
hkl 1 5 0, 36.71°, I 364
hkl 1 1 3, 37.59°, I 1000
hkl 1 5 1, 37.91°, I 523
hkl 2 0 0, 49.82°, I 338
hkl 0 6 5, 58.39°, I 335